# 1
Structure and calculated powder diffraction line list of CaMgMn2O4 (a structure optimized by DFT (PBE+U); a wavelength of 1.5418 Å).

Peak list (12 most intense, 2θ = 5–70°, in order of rising 2θ)
| 2theta | Rel. int. |
| --- | --- |
| 22.0 | 4.6 |
| 24.0 | 5.6 |
| 32.7 | 100.0 |
| 34.2 | 16.1 |
| 40.0 | 1.9 |
| 41.0 | 2.3 |
| 44.8 | 3.7 |
| 49.1 | 22.4 |
| 51.5 | 1.4 |
| 57.5 | 26.2 |
| 60.3 | 28.7 |
| 68.6 | 4.6 |

Structure:
```
CaMgMn2O4
1.0
-2.6254 2.6254 4.0428
2.6254 -2.6254 4.0428
2.6254 2.6254 -4.0428
Ca Mg Mn O
1 1 2 4
direct
0.0000 0.0000 0.0000 Ca
0.5000 0.5000 0.0000 Mg
0.2500 0.7500 0.5000 Mn
0.7500 0.2500 0.5000 Mn
0.1412 0.1412 0.5433 O
0.4021 0.8588 0.0000 O
0.5979 0.5979 0.4567 O
0.8588 0.4021 0.0000 O
```

# 2
Structure and calculated powder diffraction line list of CaMg14MnO16 (a structure optimized by DFT (PBE+U); a wavelength of 1.5418 Å).

Peak list (12 most intense, 2θ = 5–70°, in order of rising 2θ)
| 2theta | Rel. int. |
| --- | --- |
| 10.3 | 5.3 |
| 20.5 | 3.1 |
| 20.6 | 1.6 |
| 23.0 | 3.9 |
| 29.2 | 3.8 |
| 31.0 | 2.3 |
| 36.0 | 23.2 |
| 37.5 | 2.1 |
| 41.6 | 51.2 |
| 41.9 | 100.0 |
| 60.5 | 57.1 |
| 60.7 | 28.1 |

Structure:
```
CaMg14MnO16
1.0
4.3371 0.0000 0.0000
0.0000 8.6265 0.0000
0.0000 0.0000 8.6415
Ca Mg Mn O
1 14 1 16
direct
0.0000 0.0000 0.0000 Ca
0.0000 0.2546 0.2524 Mg
0.0000 0.2546 0.7476 Mg
0.0000 0.5000 0.0000 Mg
0.0000 0.5000 0.5000 Mg
0.0000 0.7454 0.2524 Mg
0.0000 0.7454 0.7476 Mg
0.5000 0.0000 0.2539 Mg
0.5000 0.0000 0.7461 Mg
0.5000 0.2527 0.5000 Mg
0.5000 0.2561 0.0000 Mg
0.5000 0.5000 0.2506 Mg
0.5000 0.5000 0.7494 Mg
0.5000 0.7439 0.0000 Mg
0.5000 0.7473 0.5000 Mg
0.0000 0.0000 0.5000 Mn
0.0000 0.0000 0.2572 O
0.0000 0.0000 0.7428 O
0.0000 0.2601 0.5000 O
0.0000 0.2639 0.0000 O
0.0000 0.5000 0.2513 O
0.0000 0.5000 0.7487 O
0.0000 0.7361 0.0000 O
0.0000 0.7399 0.5000 O
0.5000 0.0000 0.0000 O
0.5000 0.0000 0.5000 O
0.5000 0.2499 0.2503 O
0.5000 0.2499 0.7497 O
0.5000 0.5000 0.0000 O
0.5000 0.5000 0.5000 O
0.5000 0.7501 0.2503 O
0.5000 0.7501 0.7497 O
```

# 3
Structure and calculated powder diffraction line list of CaMg14MnO16 (a structure optimized by DFT (PBE+U); a wavelength of 1.5418 Å).

Peak list (12 most intense, 2θ = 5–70°, in order of rising 2θ)
| 2theta | Rel. int. |
| --- | --- |
| 10.3 | 2.0 |
| 14.5 | 3.7 |
| 20.6 | 3.1 |
| 25.2 | 3.2 |
| 29.2 | 3.8 |
| 32.8 | 2.8 |
| 36.0 | 23.3 |
| 39.0 | 2.3 |
| 41.7 | 51.3 |
| 41.9 | 100.0 |
| 60.6 | 57.1 |
| 60.7 | 28.1 |

Structure:
```
CaMg14MnO16
1.0
8.6262 0.0000 0.0000
0.0000 8.6262 0.0000
0.0000 0.0000 4.3366
Ca Mg Mn O
1 14 1 16
direct
0.0000 0.0000 0.0000 Ca
0.0000 0.2558 0.5000 Mg
0.0000 0.5000 0.0000 Mg
0.0000 0.7442 0.5000 Mg
0.2486 0.5000 0.5000 Mg
0.2522 0.2522 0.0000 Mg
0.2522 0.7478 0.0000 Mg
0.2558 0.0000 0.5000 Mg
0.5000 0.0000 0.0000 Mg
0.5000 0.2486 0.5000 Mg
0.5000 0.7514 0.5000 Mg
0.7442 0.0000 0.5000 Mg
0.7478 0.2522 0.0000 Mg
0.7478 0.7478 0.0000 Mg
0.7514 0.5000 0.5000 Mg
0.5000 0.5000 0.0000 Mn
0.0000 0.0000 0.5000 O
0.0000 0.2627 0.0000 O
0.0000 0.5000 0.5000 O
0.0000 0.7373 0.0000 O
0.2451 0.5000 0.0000 O
0.2504 0.2504 0.5000 O
0.2504 0.7496 0.5000 O
0.2627 0.0000 0.0000 O
0.5000 0.0000 0.5000 O
0.5000 0.2451 0.0000 O
0.5000 0.5000 0.5000 O
0.5000 0.7549 0.0000 O
0.7373 0.0000 0.0000 O
0.7496 0.2504 0.5000 O
0.7496 0.7496 0.5000 O
0.7549 0.5000 0.0000 O
```